This entry pairs a crystal structure of TlCrMo2O8 with its computed powder X-ray diffraction pattern. Radiation: Cu Kα. Structure: the PBE+U geometry in Alexandria.
Neutral-atom scattering factors, no anomalous dispersion.

Main lines, sorted by position (2θ = 10–80°):
| d_spacing | I/Imax | (hkl) |
| --- | --- | --- |
| 4.121 | 34 | 2 1 1 |
| 3.941 | 35 | 2 0 2 |
| 3.542 | 100 | 3 1 1 |
| 3.250 | 53 | 2 1 2 |
| 3.032 | 40 | 4 1 1 |
| 2.937 | 30 | 5 0 1 |
| 2.872 | 45 | 0 2 0 |
| 2.695 | 39 | 0 1 3 |

Atomic structure:
Cell lengths 15.5049, 5.7432, 9.1542 Å; angles 90.00, 90.00, 90.00 degrees
Space group Pnma (No. 62)
Unique sites:
Tl 0.1178 0.2500 0.0639 x4
Cr 0.1301 0.7500 0.6604 x4
Mo 0.0173 0.7500 0.2959 x4
Mo 0.2185 0.2500 0.4732 x4
O 0.0500 0.5034 0.7330 x8
O 0.0682 0.7500 0.4719 x4
O 0.0962 0.7500 0.1569 x4
O 0.1278 0.2500 0.3597 x4
O 0.1872 0.7500 0.8583 x4
O 0.2154 0.5115 0.5862 x8